(1)
Starting from a structure optimized by DFT (GGA-PBE), the PXRD pattern of Sr5CeNd3Cu4PbO18 was simulated for Cu Kα (weighted mean of Kα1 and Kα2).
No peak broadening, texture or thermal motion is included.

Cell and atoms:
```
data_Sr5CeNd3Cu4PbO18
_chemical_formula_sum 'Sr5 Ce1 Nd3 Cu4 Pb1 O18'
_cell_length_a 5.4762
_cell_length_b 15.4211
_cell_length_c 15.4211
_cell_angle_alpha 20.47
_cell_angle_beta 90.00
_cell_angle_gamma 90.00
_space_group_name_H-M_alt 'P 1'
_space_group_IT_number 1
loop_
_space_group_symop_operation_xyz
'x,y,z'
loop_
_atom_site_label
_atom_site_fract_x
_atom_site_fract_y
_atom_site_fract_z
Sr1 0.0000 0.0000 0.0000
Sr2 0.0000 0.1751 0.1751
Sr3 0.5000 0.0872 0.0872
Sr4 0.5000 0.4993 0.4993
Sr5 0.5000 0.6751 0.6751
Ce1 0.5000 0.3781 0.3781
Nd1 0.0000 0.2941 0.2941
Nd2 0.0000 0.8811 0.8811
Nd3 0.5000 0.7941 0.7941
Cu1 0.0000 0.4407 0.4407
Cu2 0.0000 0.7332 0.7332
Cu3 0.5000 0.2295 0.2295
Cu4 0.5000 0.9444 0.9444
Pb1 0.0000 0.5873 0.5873
O1 0.0000 0.0871 0.0871
O2 0.0000 0.5171 0.5171
O3 0.0000 0.6573 0.6573
O4 0.2467 0.4911 0.9845
O5 0.2467 0.9845 0.4911
O6 0.2494 0.1919 0.6800
O7 0.2494 0.6800 0.1919
O8 0.2555 0.0941 0.5833
O9 0.2555 0.5833 0.0941
O10 0.5000 0.0105 0.0105
O11 0.5000 0.1639 0.1639
O12 0.5000 0.5872 0.5872
O13 0.7445 0.0941 0.5833
O14 0.7445 0.5833 0.0941
O15 0.7506 0.1919 0.6800
O16 0.7506 0.6800 0.1919
O17 0.7533 0.4911 0.9845
O18 0.7533 0.9845 0.4911
```

Largest 12 diffraction maxima, by angle, 2θ from 15° to 90°:
24.61 deg, rel. 22.7; 30.96 deg, rel. 100.0; 32.70 deg, rel. 51.6; 41.66 deg, rel. 9.8; 44.56 deg, rel. 23.0; 46.92 deg, rel. 29.9; 53.94 deg, rel. 16.2; 56.78 deg, rel. 9.6; 57.27 deg, rel. 35.4; 64.52 deg, rel. 10.3; 68.52 deg, rel. 9.0; 78.01 deg, rel. 8.6

(2)
Starting from a structure optimized by DFT (GGA-PBE), the PXRD pattern of Sr8Ce5Nd3Cu2O24 was simulated for Cu Kα (weighted mean of Kα1 and Kα2).
No peak broadening, texture or thermal motion is included.

Cell and atoms:
```
data_Sr8Ce5Nd3Cu2O24
_chemical_formula_sum 'Sr8 Ce5 Nd3 Cu2 O24'
_cell_length_a 7.0866
_cell_length_b 11.2122
_cell_length_c 9.4638
_cell_angle_alpha 90.00
_cell_angle_beta 103.17
_cell_angle_gamma 90.00
_space_group_name_H-M_alt 'P 1'
_space_group_IT_number 1
loop_
_space_group_symop_operation_xyz
'x,y,z'
loop_
_atom_site_label
_atom_site_fract_x
_atom_site_fract_y
_atom_site_fract_z
Sr1 0.0000 0.1473 0.0000
Sr2 0.0000 0.8527 0.0000
Sr3 0.3197 0.2286 0.5888
Sr4 0.3197 0.7714 0.5888
Sr5 0.4086 0.3452 0.9628
Sr6 0.4086 0.6548 0.9628
Sr7 0.7815 0.3290 0.7038
Sr8 0.7815 0.6710 0.7038
Ce1 0.1199 0.5000 0.6048
Ce2 0.3218 0.0000 0.3548
Ce3 0.5288 0.0000 0.8522
Ce4 0.9011 0.5000 0.0822
Ce5 0.9914 0.0000 0.6372
Nd1 0.4328 0.5000 0.3163
Nd2 0.7441 0.1489 0.3026
Nd3 0.7441 0.8511 0.3026
Cu1 0.9786 0.3481 0.3427
Cu2 0.9786 0.6519 0.3427
O1 0.0128 0.0000 0.3679
O2 0.0893 0.5000 0.3428
O3 0.0946 0.2712 0.8283
O4 0.0946 0.7288 0.8283
O5 0.2133 0.0000 0.8357
O6 0.2174 0.5000 0.0966
O7 0.2257 0.0000 0.1386
O8 0.2995 0.5000 0.8007
O9 0.3279 0.0000 0.5951
O10 0.4016 0.5000 0.5511
O11 0.4481 0.2025 0.3611
O12 0.4481 0.7975 0.3611
O13 0.5575 0.1962 0.8131
O14 0.5575 0.8038 0.8131
O15 0.6185 0.5000 0.1486
O16 0.6881 0.0000 0.1050
O17 0.7060 0.0000 0.4789
O18 0.7602 0.5000 0.8657
O19 0.8151 0.5000 0.5425
O20 0.8322 0.0000 0.8074
O21 0.8621 0.2890 0.1516
O22 0.8621 0.7110 0.1516
O23 0.9679 0.2442 0.5015
O24 0.9679 0.7558 0.5015
```

Largest 12 diffraction maxima, by angle, 2θ from 15° to 90°:
23.84 deg, rel. 29.5; 25.58 deg, rel. 42.8; 26.07 deg, rel. 80.1; 26.65 deg, rel. 100.0; 29.07 deg, rel. 36.9; 29.84 deg, rel. 94.0; 30.09 deg, rel. 45.4; 31.68 deg, rel. 55.9; 36.77 deg, rel. 29.9; 38.29 deg, rel. 32.0; 48.74 deg, rel. 31.0; 51.30 deg, rel. 31.3